No. 1
Diffraction record for NbNi3P2. The powder diffraction line list is computed, not measured: it uses a structure optimized by DFT (PBE) and copper Kα.
Neutral-atom scattering factors, no anomalous dispersion.

```
18
Lattice="5.9193 0.0000 0.0000 0.0000 3.5895 0.0000 -0.0857 0.0000 10.4168" Properties=species:S:1:pos:R:3 pbc="T T T"
Nb 0.0000 0.0000 0.0000
Nb -0.0380 0.0000 6.1275
Nb 2.9230 0.0000 5.1548
Ni 0.6075 0.0000 3.0176
Ni 1.9438 1.7948 7.0379
Ni 1.9379 1.7948 9.6194
Ni 2.6391 1.7948 3.0049
Ni 2.9934 0.0000 0.9563
Ni 3.5439 0.0000 8.2992
Ni 4.8772 1.7948 1.7424
Ni 4.8918 1.7948 4.2734
Ni 5.5607 1.7948 8.2756
P 1.1508 1.7948 4.6970
P 1.2492 1.7948 1.3527
P 1.2287 0.0000 8.2950
P 4.0611 1.7948 9.9867
P 4.1066 1.7948 6.5760
P 4.1877 0.0000 2.9815
```

Peak list (12 most intense, 15 to 90 degrees two-theta, in order of falling intensity)
- 2θ = 39.26°, I = 100
- 2θ = 39.09°, I = 100
- 2θ = 39.46°, I = 96
- 2θ = 50.88°, I = 68
- 2θ = 43.16°, I = 59
- 2θ = 42.91°, I = 58
- 2θ = 43.37°, I = 58
- 2θ = 46.28°, I = 46
- 2θ = 30.22°, I = 31
- 2θ = 71.14°, I = 26
- 2θ = 53.21°, I = 25
- 2θ = 46.07°, I = 25

=====

No. 2
Diffraction record for Nb2NiS4. The powder diffraction line list is computed, not measured: it uses a structure optimized by DFT (PBE) and copper Kα.
Neutral-atom scattering factors, no anomalous dispersion.

```
28
Lattice="10.4104 0.0000 0.0000 0.0000 3.3729 0.0000 0.0000 0.0000 15.6557" Properties=species:S:1:pos:R:3 pbc="T T T"
Nb 0.5752 0.8432 1.2177
Nb 1.4025 0.8432 8.7990
Nb 3.8027 2.5297 0.9711
Nb 4.6300 2.5297 9.0456
Nb 5.7804 0.8432 6.6101
Nb 6.6076 0.8432 14.6846
Nb 9.0079 2.5297 6.8567
Nb 9.8351 2.5297 14.4380
Ni 1.7252 0.8432 11.5063
Ni 3.4800 2.5297 3.6785
Ni 6.9304 0.8432 11.9773
Ni 8.6852 2.5297 4.1494
S 0.0180 0.8432 12.7568
S 0.3848 0.8432 6.4716
S 1.7107 2.5297 15.3446
S 2.4664 2.5297 10.3839
S 2.7387 0.8432 2.5561
S 3.4945 0.8432 7.5167
S 4.8204 2.5297 14.2995
S 5.1872 2.5297 4.9290
S 5.2231 0.8432 10.7268
S 5.5899 0.8432 1.3562
S 6.9159 2.5297 8.1390
S 7.6716 2.5297 13.0997
S 7.9439 0.8432 5.2718
S 8.6996 0.8432 0.3112
S 10.0256 2.5297 9.1841
S 10.3924 2.5297 2.8989
```

Peak list (12 most intense, 15 to 90 degrees two-theta, in order of falling intensity)
- 2θ = 31.60°, I = 100
- 2θ = 47.39°, I = 63
- 2θ = 36.20°, I = 58
- 2θ = 17.96°, I = 32
- 2θ = 51.94°, I = 30
- 2θ = 34.54°, I = 28
- 2θ = 54.40°, I = 27
- 2θ = 43.08°, I = 27
- 2θ = 34.95°, I = 25
- 2θ = 30.10°, I = 23
- 2θ = 34.38°, I = 21
- 2θ = 26.31°, I = 21

=====

No. 3
Diffraction record for Nb2NiS4. The powder diffraction line list is computed, not measured: it uses a structure optimized by DFT (PBE) and copper Kα.
Neutral-atom scattering factors, no anomalous dispersion.

```
7
Lattice="3.4673 0.0000 0.0000 -1.7337 3.0028 0.0000 0.0000 0.0000 13.1998" Properties=species:S:1:pos:R:3 pbc="T T T"
Nb 0.0000 2.0019 3.5598
Nb 1.7337 1.0009 9.6400
Ni 0.0000 0.0000 0.0000
S 0.0000 2.0019 1.2038
S 0.0000 2.0019 8.2980
S 1.7337 1.0009 4.9018
S 1.7337 1.0009 11.9960
```

Peak list (12 most intense, 15 to 90 degrees two-theta, in order of falling intensity)
- 2θ = 30.53°, I = 100
- 2θ = 32.77°, I = 75
- 2θ = 45.76°, I = 60
- 2θ = 20.18°, I = 52
- 2θ = 52.80°, I = 52
- 2θ = 51.49°, I = 45
- 2θ = 36.22°, I = 40
- 2θ = 40.62°, I = 23
- 2θ = 29.75°, I = 18
- 2θ = 57.10°, I = 16
- 2θ = 72.41°, I = 14
- 2θ = 76.87°, I = 13

=====

No. 4
Diffraction record for Nb2NiS4. The powder diffraction line list is computed, not measured: it uses a structure optimized by DFT (PBE) and copper Kα.
Neutral-atom scattering factors, no anomalous dispersion.

```
28
Lattice="10.0251 0.0000 0.0000 0.0000 3.3596 0.0000 0.0000 0.0000 13.3308" Properties=species:S:1:pos:R:3 pbc="T T T"
Nb 0.1384 0.8399 1.2235
Nb 1.4176 2.5197 5.3756
Nb 3.5950 0.8399 12.0410
Nb 4.8742 2.5197 7.8889
Nb 5.1509 0.8399 5.4419
Nb 6.4301 2.5197 1.2898
Nb 8.6075 0.8399 7.9553
Nb 9.8867 2.5197 12.1074
Ni 2.3543 2.5197 2.4697
Ni 2.6583 0.8399 9.1351
Ni 7.3668 2.5197 4.1958
Ni 7.6708 0.8399 10.8612
S 0.4637 2.5197 7.7813
S 1.2644 0.8399 10.9257
S 1.2832 0.8399 3.4322
S 1.9794 2.5197 0.2174
S 3.0331 0.8399 6.8828
S 3.7293 2.5197 10.0977
S 3.7481 2.5197 4.2603
S 4.5489 0.8399 1.1159
S 5.4762 2.5197 12.2149
S 6.2769 0.8399 9.0705
S 6.2957 0.8399 3.2332
S 6.9920 2.5197 6.4480
S 8.0456 0.8399 13.1134
S 8.7419 2.5197 9.8986
S 8.7607 2.5197 2.4051
S 9.5614 0.8399 5.5495
```

Peak list (12 most intense, 15 to 90 degrees two-theta, in order of falling intensity)
- 2θ = 32.79°, I = 100
- 2θ = 49.81°, I = 82
- 2θ = 38.09°, I = 70
- 2θ = 44.30°, I = 58
- 2θ = 38.60°, I = 56
- 2θ = 43.42°, I = 52
- 2θ = 18.91°, I = 52
- 2θ = 31.12°, I = 48
- 2θ = 34.85°, I = 46
- 2θ = 54.64°, I = 43
- 2θ = 47.34°, I = 43
- 2θ = 26.78°, I = 41

=====

No. 5
Diffraction record for Nb3SiNi2. The powder diffraction line list is computed, not measured: it uses a structure optimized by DFT (PBE) and copper Kα.
Neutral-atom scattering factors, no anomalous dispersion.

```
24
Lattice="0.0000 5.6077 5.6077 5.6077 0.0000 5.6077 5.6077 5.6077 0.0000" Properties=species:S:1:pos:R:3 pbc="T T T"
Nb 4.2058 4.2058 0.8693
Nb 4.2058 0.8693 4.2058
Nb 7.5423 4.2058 4.2058
Nb 7.0097 7.0097 3.6731
Nb 7.0097 3.6731 7.0097
Nb 10.3462 7.0097 7.0097
Nb 0.8693 4.2058 4.2058
Nb 4.2058 7.5423 4.2058
Nb 4.2058 4.2058 7.5423
Nb 3.6731 7.0097 7.0097
Nb 7.0097 10.3462 7.0097
Nb 7.0097 7.0097 10.3462
Si 5.6077 2.8039 2.8039
Si 2.8039 5.6077 2.8039
Si 2.8039 2.8039 5.6077
Si 5.6077 5.6077 5.6077
Ni 3.2823 3.2823 3.2823
Ni 5.1293 5.1293 3.2823
Ni 5.1293 3.2823 5.1293
Ni 7.9331 6.0862 6.0862
Ni 3.2823 5.1293 5.1293
Ni 6.0862 7.9331 6.0862
Ni 6.0862 6.0862 7.9331
Ni 7.9331 7.9331 7.9331
```

Peak list (12 most intense, 15 to 90 degrees two-theta, in order of falling intensity)
- 2θ = 41.85°, I = 100
- 2θ = 39.36°, I = 42
- 2θ = 45.76°, I = 35
- 2θ = 71.36°, I = 34
- 2θ = 31.92°, I = 18
- 2θ = 86.30°, I = 16
- 2θ = 63.74°, I = 12
- 2θ = 34.87°, I = 9
- 2θ = 73.07°, I = 9
- 2θ = 48.71°, I = 8
- 2θ = 68.48°, I = 8
- 2θ = 89.01°, I = 7

=====

No. 6
Diffraction record for NbSiNi. The powder diffraction line list is computed, not measured: it uses a structure optimized by DFT (PBE) and copper Kα.
Neutral-atom scattering factors, no anomalous dispersion.

```
12
Lattice="6.2405 0.0000 0.0000 0.0000 3.6934 0.0000 0.0000 0.0000 7.0790" Properties=species:S:1:pos:R:3 pbc="T T T"
Nb 0.1181 0.9234 1.2489
Nb 3.0021 2.7701 4.7884
Nb 3.2384 0.9234 2.2906
Nb 6.1224 2.7701 5.8300
Si 1.3691 2.7701 2.7110
Si 1.7511 0.9234 6.2504
Si 4.4894 2.7701 0.8285
Si 4.8714 0.9234 4.3680
Ni 0.9649 0.9234 4.0168
Ni 2.1554 2.7701 0.4773
Ni 4.0851 0.9234 6.6017
Ni 5.2756 2.7701 3.0622
```

Peak list (12 most intense, 15 to 90 degrees two-theta, in order of falling intensity)
- 2θ = 38.05°, I = 100
- 2θ = 39.91°, I = 90
- 2θ = 40.89°, I = 35
- 2θ = 49.35°, I = 35
- 2θ = 45.45°, I = 30
- 2θ = 45.62°, I = 26
- 2θ = 75.01°, I = 24
- 2θ = 37.74°, I = 23
- 2θ = 38.46°, I = 23
- 2θ = 65.95°, I = 16
- 2θ = 27.23°, I = 16
- 2θ = 69.33°, I = 16

=====

No. 7
Diffraction record for Nb2SiNi3. The powder diffraction line list is computed, not measured: it uses a structure optimized by DFT (PBE) and copper Kα.
Neutral-atom scattering factors, no anomalous dispersion.

```
12
Lattice="4.8718 0.0000 0.0000 -2.4359 4.2191 0.0000 0.0000 0.0000 7.7053" Properties=species:S:1:pos:R:3 pbc="T T T"
Nb 0.0000 2.8127 0.4629
Nb 0.0000 2.8127 3.3898
Nb 2.4359 1.4064 4.3155
Nb 2.4359 1.4064 7.2424
Si 0.0000 0.0000 0.0000
Si 0.0000 0.0000 3.8527
Ni 0.0000 1.4250 5.7790
Ni -1.2018 3.5066 5.7790
Ni 1.2341 0.7125 1.9263
Ni 1.2018 3.5066 5.7790
Ni 3.6377 0.7125 1.9263
Ni 2.4359 2.7941 1.9263
```

Peak list (12 most intense, 15 to 90 degrees two-theta, in order of falling intensity)
- 2θ = 43.98°, I = 100
- 2θ = 41.15°, I = 98
- 2θ = 44.53°, I = 94
- 2θ = 69.37°, I = 37
- 2θ = 36.90°, I = 37
- 2θ = 76.56°, I = 35
- 2θ = 42.87°, I = 27
- 2θ = 78.54°, I = 26
- 2θ = 31.44°, I = 24
- 2θ = 71.40°, I = 22
- 2θ = 47.18°, I = 14
- 2θ = 21.06°, I = 9

=====

No. 8
Diffraction record for Nb2Ni5Te6. The powder diffraction line list is computed, not measured: it uses a structure optimized by DFT (PBE) and copper Kα.
Neutral-atom scattering factors, no anomalous dispersion.

```
26
Lattice="7.5748 0.0000 0.0000 3.7737 7.5359 0.0000 0.0088 4.6691 9.6548" Properties=species:S:1:pos:R:3 pbc="T T T"
Nb 0.9459 0.9528 1.9499
Nb 6.6231 11.2163 7.6308
Nb 4.7343 0.9887 2.0240
Nb 10.4116 11.2522 7.7049
Ni 0.9689 5.2052 8.9710
Ni 0.9709 2.8487 5.6886
Ni 2.8369 4.4342 4.8034
Ni 6.6375 9.3790 3.9836
Ni 6.6256 7.0092 0.6687
Ni 4.7319 5.1958 8.9861
Ni 4.7199 2.8260 5.6712
Ni 8.5206 7.7708 4.8514
Ni 10.3865 9.3563 3.9662
Ni 10.3885 6.9998 0.6838
Te 2.8743 8.8335 6.4538
Te 2.8554 6.8093 3.2765
Te 2.8515 2.0898 0.0669
Te 4.7373 10.1375 9.6145
Te 4.7669 5.3436 6.3885
Te 6.5710 8.7515 6.4734
Te 4.7865 3.4535 3.1813
Te 6.5905 6.8614 3.2662
Te 6.6201 2.0675 0.0403
Te 8.5059 10.1152 9.5878
Te 8.5020 5.3957 6.3782
Te 8.4832 3.3715 3.2010
```

Peak list (12 most intense, 15 to 90 degrees two-theta, in order of falling intensity)
- 2θ = 43.19°, I = 100
- 2θ = 30.37°, I = 70
- 2θ = 48.05°, I = 61
- 2θ = 27.72°, I = 60
- 2θ = 28.75°, I = 60
- 2θ = 41.37°, I = 54
- 2θ = 36.03°, I = 54
- 2θ = 29.32°, I = 53
- 2θ = 43.28°, I = 53
- 2θ = 34.31°, I = 50
- 2θ = 36.64°, I = 35
- 2θ = 46.60°, I = 33